Starting from a structure optimized by DFT (GGA-PBE), the X-ray diffraction stick pattern of Al2InGa8 was simulated for Cu Kα.
Neutral-atom scattering factors, no anomalous dispersion.

Structural model:
```
data_Al2InGa8
_symmetry_space_group_name_H-M 'C 1 2/m 1'
_symmetry_Int_Tables_number 12
_symmetry_space_group_name_Hall '-C 2y'
_cell_length_a 8.448
_cell_length_b 10.270
_cell_length_c 5.684
_cell_angle_alpha 90.00
_cell_angle_beta 116.31
_cell_angle_gamma 90.00
loop_
_atom_site_label
_atom_site_type_symbol
_atom_site_fract_x
_atom_site_fract_y
_atom_site_fract_z
_atom_site_occupancy
Al1 Al 0.000 0.138 0.000 1
In1 In 0.000 0.500 0.500 1
Ga1 Ga 0.000 0.220 0.500 1
Ga2 Ga 0.157 0.000 0.448 1
Ga3 Ga 0.182 0.367 0.058 1
```

Main lines, sorted by position (5° ≤ 2θ ≤ 70°):
- 22.19°, I 22, hkl 2 0 -1
- 24.61°, I 18, hkl 0 2 1
- 30.75°, I 33, hkl 1 3 -1
- 32.92°, I 21, hkl 1 1 -2
- 33.04°, I 75, hkl 3 1 -1
- 35.23°, I 93, hkl 0 0 2
- 39.29°, I 100, hkl 0 4 1
- 44.60°, I 56, hkl 3 3 0
- 46.15°, I 47, hkl 3 3 -2
- 47.58°, I 20, hkl 3 1 1



Starting from a structure optimized by DFT (GGA-PBE), the X-ray diffraction stick pattern of Al2In2GaPt5 was simulated for Cu Kα.
Neutral-atom scattering factors, no anomalous dispersion.

Structural model:
```
data_Al2In2GaPt5
_symmetry_space_group_name_H-M 'P 4/m b m'
_symmetry_Int_Tables_number 127
_symmetry_space_group_name_Hall '-P 4 2ab'
_cell_length_a 11.051
_cell_length_b 11.051
_cell_length_c 2.852
_cell_angle_alpha 90.00
_cell_angle_beta 90.00
_cell_angle_gamma 90.00
loop_
_atom_site_label
_atom_site_type_symbol
_atom_site_fract_x
_atom_site_fract_y
_atom_site_fract_z
_atom_site_occupancy
Al1 Al 0.143 0.357 0.000 1
In1 In 0.157 0.657 0.000 1
Ga1 Ga 0.000 0.000 0.000 1
Pt1 Pt 0.000 0.500 0.500 1
Pt2 Pt 0.121 0.162 0.500 1
```

Main lines, sorted by position (5° ≤ 2θ ≤ 70°):
- 22.76°, I 13, hkl 2 2 0
- 25.49°, I 32, hkl 3 1 0
- 31.37°, I 12, hkl 0 0 1
- 32.40°, I 20, hkl 4 0 0
- 33.43°, I 18, hkl 4 1 0
- 36.36°, I 33, hkl 4 2 0
- 40.84°, I 100, hkl 3 1 1
- 46.48°, I 20, hkl 4 4 0
- 47.26°, I 11, hkl 3 3 1
- 49.49°, I 14, hkl 6 0 0



Starting from a structure optimized by DFT (GGA-PBE), the X-ray diffraction stick pattern of AlInGaSb3 was simulated for Cu Kα.
Neutral-atom scattering factors, no anomalous dispersion.

Structural model:
```
data_AlInGaSb3
_symmetry_space_group_name_H-M 'I m m 2'
_symmetry_Int_Tables_number 44
_symmetry_space_group_name_Hall 'I 2 -2'
_cell_length_a 4.486
_cell_length_b 4.492
_cell_length_c 19.129
_cell_angle_alpha 90.00
_cell_angle_beta 90.00
_cell_angle_gamma 90.00
loop_
_atom_site_label
_atom_site_type_symbol
_atom_site_fract_x
_atom_site_fract_y
_atom_site_fract_z
_atom_site_occupancy
Al1 Al 0.000 0.000 0.000 1
In1 In 0.000 0.000 0.670 1
Ga1 Ga 0.000 0.000 0.340 1
Sb1 Sb 0.000 0.500 0.079 1
Sb2 Sb 0.000 0.500 0.420 1
Sb3 Sb 0.000 0.500 0.761 1
```

Main lines, sorted by position (5° ≤ 2θ ≤ 70°):
- 20.32°, I 5, hkl 0 1 1
- 24.25°, I 100, hkl 1 0 3
- 28.11°, I 4, hkl 1 1 0
- 40.10°, I 61, hkl 0 2 0
- 40.21°, I 12, hkl 2 0 0
- 47.32°, I 15, hkl 0 1 9
- 47.49°, I 33, hkl 1 2 3
- 58.13°, I 8, hkl 2 2 0
- 63.78°, I 12, hkl 2 1 9
- 63.91°, I 7, hkl 3 0 3



Starting from a structure optimized by DFT (GGA-PBE), the X-ray diffraction stick pattern of AlGa4Ir was simulated for Cu Kα.
Neutral-atom scattering factors, no anomalous dispersion.

Structural model:
```
data_AlGa4Ir
_symmetry_space_group_name_H-M 'I 4/m c m'
_symmetry_Int_Tables_number 140
_symmetry_space_group_name_Hall '-I 4 2c'
_cell_length_a 6.466
_cell_length_b 6.466
_cell_length_c 9.804
_cell_angle_alpha 90.00
_cell_angle_beta 90.00
_cell_angle_gamma 90.00
loop_
_atom_site_label
_atom_site_type_symbol
_atom_site_fract_x
_atom_site_fract_y
_atom_site_fract_z
_atom_site_occupancy
Al1 Al 0.000 0.000 0.000 1
Ga1 Ga 0.149 0.351 0.140 1
Ir1 Ir 0.000 0.000 0.250 1
```

Main lines, sorted by position (5° ≤ 2θ ≤ 70°):
- 18.10°, I 78, hkl 0 0 2
- 19.42°, I 37, hkl 1 1 0
- 26.66°, I 54, hkl 1 1 2
- 32.28°, I 69, hkl 2 1 1
- 41.71°, I 64, hkl 2 1 3
- 41.82°, I 79, hkl 1 1 4
- 44.30°, I 100, hkl 3 1 0
- 46.49°, I 54, hkl 2 0 4
- 48.23°, I 41, hkl 3 1 2
- 69.68°, I 34, hkl 4 0 4



Starting from a structure optimized by DFT (GGA-PBE), the X-ray diffraction stick pattern of AlGa4Ir was simulated for Cu Kα.
Neutral-atom scattering factors, no anomalous dispersion.

Structural model:
```
data_AlGa4Ir
_symmetry_space_group_name_H-M 'P 2 2 2'
_symmetry_Int_Tables_number 16
_symmetry_space_group_name_Hall 'P 2 2'
_cell_length_a 5.255
_cell_length_b 6.075
_cell_length_c 6.461
_cell_angle_alpha 90.00
_cell_angle_beta 90.00
_cell_angle_gamma 90.00
loop_
_atom_site_label
_atom_site_type_symbol
_atom_site_fract_x
_atom_site_fract_y
_atom_site_fract_z
_atom_site_occupancy
Al1 Al 0.000 0.000 0.000 1
Al2 Al 0.500 0.500 0.000 1
Ga1 Ga 0.189 0.307 0.747 1
Ga2 Ga 0.278 0.167 0.332 1
Ir1 Ir 0.500 0.000 0.000 1
Ir2 Ir 0.500 0.500 0.500 1
```

Main lines, sorted by position (5° ≤ 2θ ≤ 70°):
- 16.87°, I 64, hkl 1 0 0
- 20.06°, I 81, hkl 0 1 1
- 26.33°, I 86, hkl 1 1 1
- 32.54°, I 60, hkl 1 0 2
- 34.09°, I 44, hkl 1 2 0
- 36.91°, I 66, hkl 1 2 1
- 39.90°, I 81, hkl 2 1 1
- 40.78°, I 75, hkl 0 2 2
- 44.44°, I 100, hkl 2 0 2
- 45.65°, I 54, hkl 2 2 0



Starting from a structure optimized by DFT (GGA-PBE), the X-ray diffraction stick pattern of Al3GaIr was simulated for Cu Kα.
Neutral-atom scattering factors, no anomalous dispersion.

Structural model:
```
data_Al3GaIr
_symmetry_space_group_name_H-M 'C 1 2/m 1'
_symmetry_Int_Tables_number 12
_symmetry_space_group_name_Hall '-C 2y'
_cell_length_a 9.280
_cell_length_b 7.660
_cell_length_c 6.350
_cell_angle_alpha 90.00
_cell_angle_beta 125.79
_cell_angle_gamma 90.00
loop_
_atom_site_label
_atom_site_type_symbol
_atom_site_fract_x
_atom_site_fract_y
_atom_site_fract_z
_atom_site_occupancy
Al1 Al 0.084 0.000 0.380 1
Al2 Al 0.187 0.310 0.735 1
Ga1 Ga 0.070 0.500 0.282 1
Ir1 Ir 0.241 0.000 0.885 1
```

Main lines, sorted by position (5° ≤ 2θ ≤ 70°):
- 18.23°, I 85, hkl 1 1 -1
- 19.44°, I 46, hkl 2 0 -1
- 23.22°, I 100, hkl 0 2 0
- 23.64°, I 42, hkl 2 0 0
- 34.22°, I 40, hkl 3 1 -2
- 36.93°, I 41, hkl 2 0 1
- 40.27°, I 39, hkl 4 0 -1
- 44.06°, I 37, hkl 2 2 1
- 44.73°, I 36, hkl 3 1 -3
- 44.94°, I 39, hkl 1 1 2